# Cs3Cr2Cl9
Theoretical powder X-ray diffraction pattern, copper Kα. Input: a DFT-relaxed cell (PBE, the Materials Project).
Kinematic intensities with the Lorentz-polarization factor, no thermal factor.

Cell and atoms:
```
data_Cs3Cr2Cl9
_space_group_name_H-M_alt 'P 63/m m c'
_space_group_IT_number 194
_space_group_name_Hall '-P 6c 2c'
_cell_length_a 7.4436
_cell_length_b 7.4436
_cell_length_c 18.4754
_cell_angle_alpha 90.00
_cell_angle_beta 90.00
_cell_angle_gamma 120.00
loop_
_atom_site_label
_atom_site_type_symbol
_atom_site_fract_x
_atom_site_fract_y
_atom_site_fract_z
Cs1 Cs 0.0000 0.0000 0.2500
Cs2 Cs 0.3333 0.6667 0.0728
Cr1 Cr 0.3333 0.6667 0.6630
Cl1 Cl 0.0461 0.5231 0.7500
Cl2 Cl 0.1836 0.3672 0.5964
```

Peak list (10 most intense, 15° ≤ 2θ ≤ 90°, by angle)
hkl, Position (°2θ), I/Imax
1 0 2, 16.8, 56
1 0 3, 19.9, 46
1 1 0, 23.9, 100
1 0 5, 27.8, 43
0 0 6, 29.0, 41
2 0 2, 29.3, 77
2 0 3, 31.3, 94
2 0 4, 33.9, 69
2 1 5, 44.5, 38
2 2 0, 48.9, 49



# Cs2KCrCl6
Theoretical powder X-ray diffraction pattern, copper Kα. Input: a DFT-relaxed cell (PBE, the Materials Project).
Kinematic intensities with the Lorentz-polarization factor, no thermal factor.

Cell and atoms:
```
data_Cs2KCrCl6
_space_group_name_H-M_alt 'F m -3 m'
_space_group_IT_number 225
_space_group_name_Hall '-F 4 2 3'
_cell_length_a 10.838
_cell_length_b 10.838
_cell_length_c 10.838
_cell_angle_alpha 90.00
_cell_angle_beta 90.00
_cell_angle_gamma 90.00
loop_
_atom_site_label
_atom_site_type_symbol
_atom_site_fract_x
_atom_site_fract_y
_atom_site_fract_z
Cs1 Cs 0.250 0.250 0.250
K1 K 0.000 0.000 0.000
Cr1 Cr 0.000 0.000 0.500
Cl1 Cl 0.000 0.000 0.281
```

Peak list (10 most intense, 15° ≤ 2θ ≤ 90°, by angle)
hkl, Position (°2θ), I/Imax
2 2 0, 23.2, 100
2 2 2, 28.5, 63
4 0 0, 33.1, 71
4 2 2, 40.8, 39
4 4 0, 47.5, 44
6 2 0, 53.5, 25
6 2 2, 56.3, 20
4 4 4, 59.1, 14
6 4 2, 64.3, 25
8 4 0, 79.0, 16



# Cs2NaCrCl6
Theoretical powder X-ray diffraction pattern, copper Kα. Input: a DFT-relaxed cell (PBE, the Materials Project).
Kinematic intensities with the Lorentz-polarization factor, no thermal factor.

Cell and atoms:
```
data_Cs2NaCrCl6
_space_group_name_H-M_alt 'F m -3 m'
_space_group_IT_number 225
_space_group_name_Hall '-F 4 2 3'
_cell_length_a 10.471
_cell_length_b 10.471
_cell_length_c 10.471
_cell_angle_alpha 90.00
_cell_angle_beta 90.00
_cell_angle_gamma 90.00
loop_
_atom_site_label
_atom_site_type_symbol
_atom_site_fract_x
_atom_site_fract_y
_atom_site_fract_z
Cs1 Cs 0.250 0.250 0.250
Na1 Na 0.000 0.000 0.000
Cr1 Cr 0.000 0.000 0.500
Cl1 Cl 0.000 0.000 0.272
```

Peak list (10 most intense, 15° ≤ 2θ ≤ 90°, by angle)
hkl, Position (°2θ), I/Imax
2 2 0, 24.0, 100
2 2 2, 29.6, 83
4 0 0, 34.3, 80
4 2 2, 42.3, 42
4 4 0, 49.2, 51
6 2 0, 55.5, 23
6 2 2, 58.5, 29
4 4 4, 61.3, 16
6 4 2, 66.9, 25
8 4 0, 82.4, 20



# CrHgN6Cl5
Theoretical powder X-ray diffraction pattern, copper Kα. Input: a DFT-relaxed cell (PBE, the Materials Project).
Kinematic intensities with the Lorentz-polarization factor, no thermal factor.

Cell and atoms:
```
data_CrHgN6Cl5
_space_group_name_H-M_alt 'C 1 c 1'
_space_group_IT_number 9
_cell_length_a 13.218
_cell_length_b 10.964
_cell_length_c 10.411
_cell_angle_alpha 90.00
_cell_angle_beta 124.26
_cell_angle_gamma 90.00
loop_
_space_group_symop_operation_xyz
'x,y,z'
'x,-y,z+1/2'
'x+1/2,y+1/2,z'
'x+1/2,-y+1/2,z+1/2'
loop_
_atom_site_label
_atom_site_type_symbol
_atom_site_fract_x
_atom_site_fract_y
_atom_site_fract_z
Cr1 Cr 0.000 0.144 0.000
Hg1 Hg 0.198 0.274 0.758
N1 N 0.019 0.028 0.143
N2 N 0.044 0.049 0.907
N3 N 0.117 0.252 0.177
N4 N 0.340 0.343 0.394
N5 N 0.403 0.006 0.006
N6 N 0.410 0.052 0.598
Cl1 Cl 0.012 0.320 0.877
Cl2 Cl 0.108 0.276 0.495
Cl3 Cl 0.259 0.225 0.271
Cl4 Cl 0.326 0.279 0.023
Cl5 Cl 0.463 0.465 0.746
```

Peak list (10 most intense, 15° ≤ 2θ ≤ 90°, by angle)
hkl, Position (°2θ), I/Imax
0 2 0, 16.2, 100
2 0 -2, 17.7, 49
1 1 1, 18.2, 64
3 1 -1, 22.0, 77
2 2 0, 23.0, 84
2 2 -2, 24.0, 54
1 3 -1, 25.9, 36
4 0 -2, 27.1, 39
4 2 -2, 31.7, 30
2 2 -4, 39.0, 33



# Rb2CrI2Cl2
Theoretical powder X-ray diffraction pattern, copper Kα. Input: a DFT-relaxed cell (PBE, the Materials Project).
Kinematic intensities with the Lorentz-polarization factor, no thermal factor.

Cell and atoms:
```
data_Rb2CrI2Cl2
_space_group_name_H-M_alt 'C m c e'
_space_group_IT_number 64
_space_group_name_Hall '-C 2ac 2'
_cell_length_a 16.598
_cell_length_b 9.223
_cell_length_c 13.629
_cell_angle_alpha 90.00
_cell_angle_beta 90.00
_cell_angle_gamma 90.00
loop_
_atom_site_label
_atom_site_type_symbol
_atom_site_fract_x
_atom_site_fract_y
_atom_site_fract_z
Rb1 Rb 0.116 0.000 0.000
Cr1 Cr 0.000 0.000 0.500
I1 I 0.000 0.096 0.311
Cl1 Cl 0.000 0.245 0.555
```

Peak list (10 most intense, 15° ≤ 2θ ≤ 90°, by angle)
hkl, Position (°2θ), I/Imax
3 1 1, 19.8, 100
0 2 1, 20.3, 40
1 1 3, 22.5, 92
2 2 1, 23.0, 59
1 1 4, 28.4, 34
5 1 1, 29.3, 56
4 2 1, 29.7, 38
6 0 0, 32.4, 61
3 1 5, 38.1, 41
5 1 5, 44.1, 36



# Rb2CrI2Cl2
Theoretical powder X-ray diffraction pattern, copper Kα. Input: a DFT-relaxed cell (PBE, the Materials Project).
Kinematic intensities with the Lorentz-polarization factor, no thermal factor.

Cell and atoms:
```
data_Rb2CrI2Cl2
_space_group_name_H-M_alt 'C m c e'
_space_group_IT_number 64
_space_group_name_Hall '-C 2ac 2'
_cell_length_a 17.937
_cell_length_b 7.494
_cell_length_c 7.494
_cell_angle_alpha 90.00
_cell_angle_beta 90.00
_cell_angle_gamma 90.00
loop_
_atom_site_label
_atom_site_type_symbol
_atom_site_fract_x
_atom_site_fract_y
_atom_site_fract_z
Rb1 Rb 0.126 0.000 0.000
Cr1 Cr 0.000 0.000 0.500
I1 I 0.156 0.000 0.500
Cl1 Cl 0.000 0.229 0.271
```

Peak list (10 most intense, 15° ≤ 2θ ≤ 90°, by angle)
hkl, Position (°2θ), I/Imax
4 0 0, 19.8, 23
0 2 0, 23.7, 100
6 0 0, 29.9, 23
5 1 1, 30.1, 32
4 2 0, 31.1, 82
0 2 2, 33.8, 72
6 2 2, 45.8, 26
0 4 0, 48.6, 24
0 4 2, 54.8, 21
4 4 2, 58.8, 24



# K2NaCrCl6
Theoretical powder X-ray diffraction pattern, copper Kα. Input: a DFT-relaxed cell (PBE, the Materials Project).
Kinematic intensities with the Lorentz-polarization factor, no thermal factor.

Cell and atoms:
```
data_K2NaCrCl6
_space_group_name_H-M_alt 'F m -3 m'
_space_group_IT_number 225
_space_group_name_Hall '-F 4 2 3'
_cell_length_a 10.174
_cell_length_b 10.174
_cell_length_c 10.174
_cell_angle_alpha 90.00
_cell_angle_beta 90.00
_cell_angle_gamma 90.00
loop_
_atom_site_label
_atom_site_type_symbol
_atom_site_fract_x
_atom_site_fract_y
_atom_site_fract_z
K1 K 0.250 0.250 0.250
Na1 Na 0.000 0.000 0.000
Cr1 Cr 0.000 0.000 0.500
Cl1 Cl 0.000 0.000 0.268
```

Peak list (10 most intense, 15° ≤ 2θ ≤ 90°, by angle)
hkl, Position (°2θ), I/Imax
1 1 1, 15.1, 27
2 0 0, 17.4, 25
2 2 0, 24.8, 33
2 2 2, 30.4, 70
4 0 0, 35.3, 100
4 2 2, 43.6, 12
4 4 0, 50.8, 59
6 2 2, 60.3, 19
4 4 4, 63.3, 18
8 4 0, 85.3, 21



# Li5CrCl8
Theoretical powder X-ray diffraction pattern, copper Kα. Input: a DFT-relaxed cell (PBE, the Materials Project).
Kinematic intensities with the Lorentz-polarization factor, no thermal factor.

Cell and atoms:
```
data_Li5CrCl8
_space_group_name_H-M_alt 'C m m m'
_space_group_IT_number 65
_space_group_name_Hall '-C 2 2'
_cell_length_a 7.329
_cell_length_b 10.273
_cell_length_c 7.296
_cell_angle_alpha 90.00
_cell_angle_beta 90.00
_cell_angle_gamma 90.00
loop_
_atom_site_label
_atom_site_type_symbol
_atom_site_fract_x
_atom_site_fract_y
_atom_site_fract_z
Li1 Li 0.000 0.000 0.000
Li2 Li 0.250 0.250 0.233
Cr1 Cr 0.000 0.000 0.500
Cl1 Cl 0.000 0.231 0.500
Cl2 Cl 0.000 0.247 0.000
Cl3 Cl 0.228 0.000 0.270
```

Peak list (10 most intense, 15° ≤ 2θ ≤ 90°, by angle)
hkl, Position (°2θ), I/Imax
1 1 1, 19.2, 26
0 2 1, 21.2, 15
0 2 2, 30.0, 99
2 0 2, 34.7, 100
0 4 0, 34.9, 49
4 0 0, 49.8, 15
2 4 2, 50.1, 73
4 4 0, 62.2, 13
0 4 4, 62.5, 13
4 4 4, 83.8, 15



# Rb6Mn2CrCl12
Theoretical powder X-ray diffraction pattern, copper Kα. Input: a DFT-relaxed cell (PBE, the Materials Project).
Kinematic intensities with the Lorentz-polarization factor, no thermal factor.

Cell and atoms:
```
data_Rb6Mn2CrCl12
_space_group_name_H-M_alt 'I 4/m m m'
_space_group_IT_number 139
_space_group_name_Hall '-I 4 2'
_cell_length_a 5.098
_cell_length_b 5.098
_cell_length_c 48.734
_cell_angle_alpha 90.00
_cell_angle_beta 90.00
_cell_angle_gamma 90.00
loop_
_atom_site_label
_atom_site_type_symbol
_atom_site_fract_x
_atom_site_fract_y
_atom_site_fract_z
Rb1 Rb 0.000 0.000 0.047
Rb2 Rb 0.000 0.000 0.286
Rb3 Rb 0.000 0.000 0.381
Mn1 Mn 0.000 0.000 0.167
Cr1 Cr 0.000 0.000 0.500
Cl1 Cl 0.000 0.000 0.115
Cl2 Cl 0.000 0.000 0.218
Cl3 Cl 0.000 0.000 0.450
Cl4 Cl 0.000 0.500 0.000
Cl5 Cl 0.000 0.500 0.167
```

Peak list (10 most intense, 15° ≤ 2θ ≤ 90°, by angle)
hkl, Position (°2θ), I/Imax
1 0 9, 24.0, 75
1 1 0, 24.7, 98
1 0 15, 32.7, 21
0 0 18, 33.1, 37
1 1 12, 33.2, 89
2 0 0, 35.2, 100
2 1 9, 43.0, 33
2 0 18, 49.1, 43
2 2 0, 50.6, 33
3 1 12, 61.9, 26



# Na2CrCl4
Theoretical powder X-ray diffraction pattern, copper Kα. Input: a DFT-relaxed cell (PBE, the Materials Project).
Kinematic intensities with the Lorentz-polarization factor, no thermal factor.

Cell and atoms:
```
data_Na2CrCl4
_space_group_name_H-M_alt 'P 1 21/c 1'
_space_group_IT_number 14
_cell_length_a 4.038
_cell_length_b 11.628
_cell_length_c 7.017
_cell_angle_alpha 90.00
_cell_angle_beta 93.81
_cell_angle_gamma 90.00
loop_
_space_group_symop_operation_xyz
'x,y,z'
'-x,-y,-z'
'-x,y+1/2,-z+1/2'
'x,-y+1/2,z+1/2'
loop_
_atom_site_label
_atom_site_type_symbol
_atom_site_fract_x
_atom_site_fract_y
_atom_site_fract_z
Na1 Na 0.017 0.180 0.406
Cr1 Cr 0.500 0.000 0.000
Cl1 Cl 0.067 0.047 0.760
Cl2 Cl 0.492 0.693 0.385
```

Peak list (10 most intense, 15° ≤ 2θ ≤ 90°, by angle)
hkl, Position (°2θ), I/Imax
1 1 -1, 25.9, 100
1 0 -2, 32.8, 30
0 4 1, 33.4, 75
1 1 -2, 33.7, 39
1 1 2, 35.9, 42
1 2 -2, 36.3, 36
1 2 2, 38.4, 34
2 0 0, 45.0, 38
1 5 -1, 46.5, 27
1 5 1, 47.4, 33



# RbCrCl3
Theoretical powder X-ray diffraction pattern, copper Kα. Input: a DFT-relaxed cell (PBE, the Materials Project).
Kinematic intensities with the Lorentz-polarization factor, no thermal factor.

Cell and atoms:
```
data_RbCrCl3
_space_group_name_H-M_alt 'C 1 2 1'
_space_group_IT_number 5
_cell_length_a 12.469
_cell_length_b 7.144
_cell_length_c 12.822
_cell_angle_alpha 90.00
_cell_angle_beta 92.76
_cell_angle_gamma 90.00
loop_
_space_group_symop_operation_xyz
'x,y,z'
'-x,y,-z'
'x+1/2,y+1/2,z'
'-x+1/2,y+1/2,-z'
loop_
_atom_site_label
_atom_site_type_symbol
_atom_site_fract_x
_atom_site_fract_y
_atom_site_fract_z
Rb1 Rb 0.163 0.000 0.123
Rb2 Rb 0.169 0.035 0.620
Cr1 Cr 0.000 0.485 0.000
Cr2 Cr 0.000 0.553 0.500
Cr3 Cr 0.003 0.517 0.750
Cl1 Cl 0.073 0.313 0.389
Cl2 Cl 0.077 0.721 0.889
Cl3 Cl 0.079 0.785 0.393
Cl4 Cl 0.086 0.253 0.898
Cl5 Cl 0.160 0.502 0.161
Cl6 Cl 0.165 0.531 0.658
```

Peak list (10 most intense, 15° ≤ 2θ ≤ 90°, by angle)
hkl, Position (°2θ), I/Imax
1 1 -2, 19.7, 32
3 1 0, 24.8, 60
0 2 0, 24.9, 30
0 0 4, 27.9, 30
4 0 -2, 31.3, 41
2 2 -2, 31.8, 100
2 2 2, 32.4, 71
4 0 2, 32.6, 37
2 2 -4, 40.0, 30
6 2 0, 50.9, 37